AsHIrOsAu: computed X-ray diffraction stick pattern (Cu Kα (weighted mean of Kα1 and Kα2)), based on a structure optimized by DFT (GGA-PBE).
Intensities are scaled so that the largest is 100.

Cell and atoms:
```
data_AsHIrOsAu
_chemical_formula_sum 'As2 H2 Ir2 Os2 Au2'
_space_group_name_H-M_alt 'C 1 m 1'
_space_group_IT_number 8
_space_group_name_Hall 'C -2y'
_cell_length_a 7.3094
_cell_length_b 4.6713
_cell_length_c 5.2444
_cell_angle_alpha 90.00
_cell_angle_beta 128.40
_cell_angle_gamma 90.00
loop_
_atom_site_label
_atom_site_fract_x
_atom_site_fract_y
_atom_site_fract_z
_atom_site_occupancy
As1 0.0000 0.0000 0.0000 1
H1 0.1084 0.5000 0.3043 1
Ir1 0.4156 0.0000 0.4106 1
Os1 0.1879 0.5000 0.0510 1
Au1 0.1691 0.0000 0.6773 1
```

Largest 12 diffraction maxima, sorted by position, 15 to 90 degrees two-theta:
24.47 deg, I = 41, hkl 2 0 -1; 25.62 deg, I = 16, hkl 1 1 -1; 34.46 deg, I = 46, hkl 2 0 -2; 38.55 deg, I = 65, hkl 0 2 0; 39.09 deg, I = 100, hkl 1 1 1; 41.13 deg, I = 44, hkl 1 1 -2; 42.50 deg, I = 73, hkl 3 1 -1; 44.41 deg, I = 17, hkl 3 1 -2; 46.19 deg, I = 16, hkl 2 2 -1; 52.65 deg, I = 28, hkl 2 2 -2; 70.10 deg, I = 18, hkl 1 3 1; 72.45 deg, I = 15, hkl 3 3 -1